Calculated powder X-ray diffraction pattern of Li4Co3O7 for Cu Kα X-rays, from the GGA+U geometry in the Materials Project.
Lines closer than 0.1° are merged.

Peak list (10 most intense, 2θ from 5° to 70°, low angle first)
Position (°2θ)	I/Imax
10.1	13
18.3	100
35.8	29
36.7	11
43.2	57
44.5	24
47.8	8
56.9	11
63.2	14
64.3	14

Atomic structure:
```
data_Li4Co3O7
_cell_length_a 19.455
_cell_length_b 2.948
_cell_length_c 9.740
_cell_angle_alpha 90.00
_cell_angle_beta 116.37
_cell_angle_gamma 90.00
_symmetry_space_group_name_H-M 'C 1 2/m 1'
_symmetry_Int_Tables_number 12
loop_
_symmetry_equiv_pos_as_xyz
'x,y,z'
'-x,-y,-z'
'-x,y,-z'
'x,-y,z'
'x+1/2,y+1/2,z'
'-x+1/2,-y+1/2,-z'
'-x+1/2,y+1/2,-z'
'x+1/2,-y+1/2,z'
loop_
_atom_site_label
_atom_site_fract_x
_atom_site_fract_y
_atom_site_fract_z
Li1 0.000 0.000 0.000
Li2 0.000 0.500 0.500
Li3 0.069 0.000 0.780
Li4 0.141 0.500 0.072
Li5 0.210 0.000 0.352
Co1 0.068 0.500 0.274
Co2 0.140 0.000 0.568
Co3 0.213 0.500 0.855
O1 0.024 0.500 0.871
O2 0.041 0.000 0.393
O3 0.104 0.000 0.184
O4 0.110 0.500 0.672
O5 0.167 0.500 0.451
O6 0.182 0.000 0.961
O7 0.244 0.000 0.744
```

Calculated powder X-ray diffraction pattern of Ca2YNiO5 for Cu Kα X-rays, from the GGA+U geometry in the Materials Project.
Lines closer than 0.1° are merged.

Peak list (10 most intense, 2θ from 5° to 70°, low angle first)
Position (°2θ)	I/Imax
21.4	19
23.6	19
32.1	100
35.0	30
43.6	14
48.2	29
50.2	15
57.3	13
60.9	11
67.1	10

Atomic structure:
```
data_Ca2YNiO5
_cell_length_a 16.593
_cell_length_b 5.567
_cell_length_c 5.132
_cell_angle_alpha 90.00
_cell_angle_beta 90.00
_cell_angle_gamma 90.00
_symmetry_space_group_name_H-M 'I m a 2'
_symmetry_Int_Tables_number 46
loop_
_symmetry_equiv_pos_as_xyz
'x,y,z'
'-x,-y,z'
'-x+1/2,y,z'
'x+1/2,-y,z'
'x+1/2,y+1/2,z+1/2'
'-x+1/2,-y+1/2,z+1/2'
'-x,y+1/2,z+1/2'
'x,-y+1/2,z+1/2'
loop_
_atom_site_label
_atom_site_fract_x
_atom_site_fract_y
_atom_site_fract_z
Ca1 0.097 0.026 0.000
Y1 0.250 0.538 0.026
Ni1 0.000 0.000 0.493
O1 0.015 0.748 0.245
O2 0.126 0.063 0.483
O3 0.250 0.569 0.474
```